(1)
The following is a computed XRD peak list of TbPm6DyTm2. It was derived from a PBE-relaxed structure, using Cu Kα, 1.54184 Å.
Intensities are scaled so that the largest is 1000.

Largest 6 diffraction maxima, sorted by position, 5 to 70 degrees two-theta:
2θ (°)  d/Å  Rel. int.  h k l
28.35  3.148  425  1 3 2
30.19  2.961  560  3 1 -1
30.56  2.925  636  0 2 3
31.06  2.879  1000  2 2 2
31.28  2.859  385  2 4 -1
33.74  2.657  383  1 3 -3

Structure:
Cell: 9.227 15.192 9.590 Å, 90.00 97.25 90.00°
Space group C2/c (No. 15)
One atom of each set of equivalent atoms:
Tb (0.000, 0.029, 0.250) x4
Pm (0.062, 0.177, 0.945) x8
Pm (0.097, 0.391, 0.118) x8
Pm (0.214, 0.224, 0.315) x8
Dy (0.000, 0.410, 0.750) x4
Tm (0.250, 0.049, 0.547) x8

(2)
The following is a computed XRD peak list of TbPm3Sm4. It was derived from a PBE-relaxed structure, using Cu Kα, 1.54184 Å.
Intensities are scaled so that the largest is 1000.

Largest 6 diffraction maxima, sorted by position, 5 to 70 degrees two-theta:
2θ (°)  d/Å  Rel. int.  h k l
28.05  3.181  235  0 2 1
30.59  2.923  251  4 0 0
32.03  2.794  1000  2 0 2
49.64  1.836  196  0 4 0
55.29  1.661  213  6 0 2
59.44  1.555  228  4 4 0

Structure:
Cell: 11.690 7.350 6.358 Å, 90.00 90.00 90.00°
Space group Pmn2_1 (No. 31)
One atom of each set of equivalent atoms:
Tb (0.000, 0.125, 0.000) x2
Pm (0.000, 0.875, 0.500) x2
Pm (0.250, 0.125, 0.333) x4
Sm (0.000, 0.375, 0.500) x2
Sm (0.000, 0.625, 0.001) x2
Sm (0.249, 0.375, 0.833) x4

(3)
The following is a computed XRD peak list of CdSnBi. It was derived from a PBE-relaxed structure, using Cu Kα, 1.54184 Å.
Intensities are scaled so that the largest is 1000.

Largest 6 diffraction maxima, sorted by position, 5 to 70 degrees two-theta:
2θ (°)  d/Å  Rel. int.  h k l
29.60  3.018  1000  0 2 0
34.98  2.565  810  3 1 1
41.05  2.199  233  3 2 0
42.36  2.134  383  0 2 2
51.45  1.776  194  3 2 2
56.06  1.641  422  3 3 1

Structure:
Cell: 9.630 6.036 6.036 Å, 90.00 90.00 90.00°
Space group Aem2 (No. 39)
One atom of each set of equivalent atoms:
Cd (0.054, 0.250, 0.000) x4
Sn (0.257, 0.250, 0.498) x4
Bi (0.370, 0.250, 0.998) x4

(4)
The following is a computed XRD peak list of Tb3Ho6Al. It was derived from a PBE-relaxed structure, using Cu Kα, 1.54184 Å.
Intensities are scaled so that the largest is 1000.

Largest 6 diffraction maxima, sorted by position, 5 to 70 degrees two-theta:
2θ (°)  d/Å  Rel. int.  h k l
31.45  2.845  389  1 0 4
31.99  2.798  405  4 -1 2
32.12  2.787  1000  4 0 1
32.73  2.736  692  0 3 3
34.81  2.577  308  0 4 2
34.93  2.569  205  5 -2 1

Structure:
Cell: 13.2490 13.2490 11.7455 Å, 90.00 90.00 120.00°
Space group R-3 (No. 148, hexagonal axes)
One atom of each set of equivalent atoms:
Tb (0.0599, 0.5298, 0.1189) x18
Ho (0.0003, 0.2514, 0.0002) x18
Ho (0.0870, 0.1755, 0.7556) x18
Al (0.0000, 0.0000, 0.0000) x3
Al (0.0000, 0.0000, 0.5000) x3

(5)
The following is a computed XRD peak list of Cu3Br3Cl. It was derived from a PBE-relaxed structure, using Cu Kα, 1.54184 Å.
Intensities are scaled so that the largest is 1000.

Largest 6 diffraction maxima, sorted by position, 5 to 70 degrees two-theta:
2θ (°)  d/Å  Rel. int.  h k l
22.59  3.936  215  1 1 0
25.86  3.445  1000  0 0 2
26.14  3.409  721  2 0 0
37.10  2.423  558  2 0 2
46.13  1.968  570  2 2 0
53.63  1.709  712  2 2 2

Structure:
Cell: 7.8718 7.8718 6.8906 Å, 90.00 90.00 120.00°
Space group P6_3/mmc (No. 194)
One atom of each set of equivalent atoms:
Cu (0.1677, 0.3355, 0.2500) x6
Br (0.1757, 0.3513, 0.7500) x6
Cl (0.3333, 0.6667, 0.2500) x2

(6)
The following is a computed XRD peak list of Pm5Sm8Ho. It was derived from a PBE-relaxed structure, using Cu Kα, 1.54184 Å.
Intensities are scaled so that the largest is 1000.

Largest 6 diffraction maxima, sorted by position, 5 to 70 degrees two-theta:
2θ (°)  d/Å  Rel. int.  h k l
27.72  3.218  690  1 3 -1
28.86  3.093  723  3 1 -3
29.00  3.079  854  4 0 -1
33.38  2.684  1000  3 3 -2
33.99  2.638  517  4 2 -1
34.33  2.612  404  1 1 2

Structure:
Cell: 13.748 10.228 9.729 Å, 90.00 134.87 90.00°
Space group C2 (No. 5)
One atom of each set of equivalent atoms:
Pm (0.000, 0.000, 0.000) x2
Pm (0.107, 0.424, 0.897) x4
Pm (0.210, 0.576, 0.318) x4
Sm (0.070, 0.095, 0.744) x4
Sm (0.085, 0.754, 0.904) x4
Sm (0.174, 0.405, 0.604) x4
Sm (0.180, 0.246, 0.264) x4
Ho (0.000, 0.750, 0.500) x2

(7)
The following is a computed XRD peak list of Rh. It was derived from a PBE-relaxed structure, using Cu Kα, 1.54184 Å.
Intensities are scaled so that the largest is 1000.

Largest 3 diffraction maxima, sorted by position, 5 to 70 degrees two-theta:
2θ (°)  d/Å  Rel. int.  h k l
40.69  2.218  1000  1 1 1
47.34  1.920  482  2 0 0
69.18  1.358  302  2 2 0

Structure:
Cell: 3.841 3.841 3.841 Å, 90.00 90.00 90.00°
Space group Fm-3m (No. 225)
One atom of each set of equivalent atoms:
Rh (0.000, 0.000, 0.000) x4

(8)
The following is a computed XRD peak list of ZrAs2Au. It was derived from a PBE-relaxed structure, using Cu Kα, 1.54184 Å.
Intensities are scaled so that the largest is 1000.

Largest 6 diffraction maxima, sorted by position, 5 to 70 degrees two-theta:
2θ (°)  d/Å  Rel. int.  h k l
22.68  3.920  171  1 1 1
26.25  3.395  67  2 0 0
37.46  2.401  1000  2 2 0
44.24  2.047  96  3 1 1
54.02  1.698  173  4 0 0
67.59  1.386  351  4 2 2

Structure:
Cell: 6.790 6.790 6.790 Å, 90.00 90.00 90.00°
Space group F-43m (No. 216)
One atom of each set of equivalent atoms:
Zr (0.000, 0.000, 0.000) x4
As (0.000, 0.000, 0.500) x4
As (0.250, 0.250, 0.250) x4
Au (0.250, 0.250, 0.750) x4

(9)
The following is a computed XRD peak list of Sm3ReC3. It was derived from a PBE-relaxed structure, using Cu Kα, 1.54184 Å.
Intensities are scaled so that the largest is 1000.

Largest 6 diffraction maxima, sorted by position, 5 to 70 degrees two-theta:
2θ (°)  d/Å  Rel. int.  h k l
31.15  2.872  1000  2 2 1
31.85  2.810  276  1 3 1
33.48  2.676  159  0 4 0
33.74  2.657  362  0 0 2
58.73  1.572  171  2 2 3
64.18  1.451  195  3 5 2

Structure:
Cell: 8.861 10.705 5.313 Å, 90.00 90.00 90.00°
Space group Cmcm (No. 63)
One atom of each set of equivalent atoms:
Sm (0.000, 0.108, 0.250) x4
Sm (0.210, 0.381, 0.250) x8
Re (0.000, 0.306, 0.750) x4
C (0.000, 0.125, 0.750) x4
C (0.202, 0.376, 0.750) x8

(10)
The following is a computed XRD peak list of BaTlCd6. It was derived from a PBE-relaxed structure, using Cu Kα, 1.54184 Å.
Intensities are scaled so that the largest is 1000.

Largest 6 diffraction maxima, sorted by position, 5 to 70 degrees two-theta:
2θ (°)  d/Å  Rel. int.  h k l
20.37  4.360  365  1 0 1
25.89  3.441  765  1 0 2
31.82  2.812  980  1 1 2
36.83  2.440  1000  2 0 0
38.13  2.360  886  1 1 3
41.57  2.173  381  1 0 4

Structure:
Cell: 4.880 4.880 9.706 Å, 90.00 90.00 90.00°
Space group P4/mmm (No. 123)
One atom of each set of equivalent atoms:
Ba (0.000, 0.000, 0.000) x1
Tl (0.000, 0.000, 0.500) x1
Cd (0.000, 0.500, 0.315) x4
Cd (0.500, 0.500, 0.146) x2

(11)
The following is a computed XRD peak list of Dy4Ho9Al11. It was derived from a PBE-relaxed structure, using Cu Kα, 1.54184 Å.
Intensities are scaled so that the largest is 1000.

Largest 6 diffraction maxima, sorted by position, 5 to 70 degrees two-theta:
2θ (°)  d/Å  Rel. int.  h k l
23.92  3.720  458  0 6 0
26.63  3.347  771  0 0 1
33.61  2.667  461  4 6 0
33.99  2.638  439  1 5 1
35.61  2.522  1000  5 5 0
36.11  2.488  645  0 6 1

Structure:
Cell: 15.300 22.320 3.347 Å, 90.00 90.00 90.00°
Space group Cmmm (No. 65)
One atom of each set of equivalent atoms:
Dy (0.177, 0.083, 0.000) x8
Ho (0.000, 0.000, 0.000) x2
Ho (0.107, 0.404, 0.000) x8
Ho (0.112, 0.224, 0.000) x8
Al (0.000, 0.121, 0.500) x4
Al (0.000, 0.312, 0.500) x4
Al (0.000, 0.500, 0.500) x2
Al (0.199, 0.500, 0.500) x4
Al (0.225, 0.314, 0.500) x8

(12)
The following is a computed XRD peak list of NdDy3C8. It was derived from a PBE-relaxed structure, using Cu Kα, 1.54184 Å.
Intensities are scaled so that the largest is 1000.

Largest 6 diffraction maxima, sorted by position, 5 to 70 degrees two-theta:
2θ (°)  d/Å  Rel. int.  h k l
26.09  3.415  520  2 2 0
28.88  3.091  1000  2 0 2
37.14  2.421  156  0 4 0
47.74  1.905  277  2 4 2
47.85  1.901  273  4 2 2
52.82  1.733  202  2 2 4

Structure:
Cell: 9.638 9.682 8.047 Å, 90.00 90.00 90.00°
Space group Fmm2 (No. 42)
One atom of each set of equivalent atoms:
Nd (0.000, 0.000, 0.000) x4
Dy (0.000, 0.000, 0.500) x4
Dy (0.250, 0.250, 0.247) x8
C (0.000, 0.170, 0.740) x8
C (0.000, 0.241, 0.361) x8
C (0.170, 0.000, 0.261) x8
C (0.240, 0.000, 0.641) x8